This entry pairs a crystal structure of Pm4PrTm3 with its theoretical XRD peak list. Radiation: Cu Kα (λ = 1.5418 Å). Structure: a structure optimized by DFT (PBE).
Intensities are scaled so that the largest is 100.

Main lines, in order of falling intensity (2θ from 15° to 90°):
32.29°, rel. 100; 31.01°, rel. 25; 28.23°, rel. 24; 55.98°, rel. 21; 42.43°, rel. 16; 60.03°, rel. 15; 50.03°, rel. 13; 60.68°, rel. 11; 59.87°, rel. 8; 49.85°, rel. 7

Crystal structure
```
16
Lattice="11.536 0.000 0.000 0.000 7.318 0.000 0.000 0.000 6.308" Properties=species:S:1:pos:R:3 pbc="T T T"
Pm 0.000 0.939 0.000
Pm 0.000 6.372 3.090
Pm 2.831 6.397 5.234
Pm 2.937 0.920 2.080
Pm 5.768 0.946 6.245
Pm 5.768 6.378 3.154
Pm 8.599 0.920 2.080
Pm 8.705 6.397 5.234
Pr 0.000 2.743 3.121
Pr 5.768 4.574 6.275
Tm 0.000 4.550 6.277
Tm 2.880 2.770 5.224
Tm 2.888 4.548 2.070
Tm 5.768 2.768 3.123
Tm 8.656 2.770 5.224
Tm 8.648 4.548 2.070
```

---

This entry pairs a crystal structure of UInPdAu with its theoretical XRD peak list. Radiation: Cu Kα (λ = 1.5418 Å). Structure: a structure optimized by DFT (PBE).
Intensities are scaled so that the largest is 100.

Main lines, in order of falling intensity (2θ from 15° to 90°):
36.63°, rel. 100; 65.94°, rel. 36; 52.76°, rel. 18; 89.27°, rel. 17; 77.87°, rel. 12; 22.19°, rel. 11; 43.24°, rel. 6; 57.92°, rel. 3; 82.17°, rel. 2; 70.51°, rel. 2

Crystal structure
```
4
Lattice="0.000 3.470 3.470 3.470 0.000 3.470 3.470 3.470 0.000" Properties=species:S:1:pos:R:3 pbc="T T T"
U 0.000 0.000 0.000
In 3.470 3.470 3.470
Pd 5.205 5.205 5.205
Au 1.735 1.735 1.735
```

---

This entry pairs a crystal structure of MnCr14Re with its theoretical XRD peak list. Radiation: Cu Kα (λ = 1.5418 Å). Structure: a structure optimized by DFT (PBE).
Intensities are scaled so that the largest is 100.

Main lines, in order of falling intensity (2θ from 15° to 90°):
44.43°, rel. 100; 44.30°, rel. 20; 64.61°, rel. 18; 81.88°, rel. 17; 21.78°, rel. 13; 81.62°, rel. 12; 81.73°, rel. 6; 18.83°, rel. 5; 28.97°, rel. 5; 38.18°, rel. 4

Crystal structure
```
16
Lattice="2.884 -4.089 0.000 2.884 4.089 0.000 0.000 0.000 8.146" Properties=species:S:1:pos:R:3 pbc="T T T"
Mn 0.000 0.000 0.000
Cr 0.000 0.000 4.073
Cr 1.442 2.045 0.000
Cr 1.442 2.045 4.073
Cr 1.430 0.000 2.074
Cr 1.430 0.000 6.072
Cr 2.884 2.062 2.044
Cr 2.884 2.062 6.101
Cr 1.442 -2.045 0.000
Cr 1.442 -2.045 4.073
Cr 2.884 0.000 4.073
Cr 2.884 -2.062 2.044
Cr 2.884 -2.062 6.101
Cr 4.338 0.000 2.074
Cr 4.338 0.000 6.072
Re 2.884 0.000 0.000
```

---

This entry pairs a crystal structure of CdFe2Tc2 with its theoretical XRD peak list. Radiation: Cu Kα (λ = 1.5418 Å). Structure: a structure optimized by DFT (PBE).
Intensities are scaled so that the largest is 100.

Main lines, in order of falling intensity (2θ from 15° to 90°):
43.84°, rel. 100; 39.33°, rel. 94; 41.93°, rel. 50; 35.03°, rel. 23; 64.73°, rel. 20; 83.58°, rel. 20; 75.78°, rel. 18; 27.53°, rel. 16; 37.88°, rel. 16; 79.76°, rel. 15

Crystal structure
```
10
Lattice="7.244 0.000 0.000 0.000 7.244 0.000 0.000 0.000 2.680" Properties=species:S:1:pos:R:3 pbc="T T T"
Cd 0.000 0.000 0.000
Cd 3.622 3.622 0.000
Fe 0.878 2.745 0.000
Fe 2.745 6.367 0.000
Fe 4.500 0.878 0.000
Fe 6.367 4.500 0.000
Tc 1.197 4.819 1.340
Tc 2.425 1.197 1.340
Tc 4.819 6.047 1.340
Tc 6.047 2.425 1.340
```

---

This entry pairs a crystal structure of RbTmUS4 with its theoretical XRD peak list. Radiation: Cu Kα (λ = 1.5418 Å). Structure: a structure optimized by DFT (PBE).
Intensities are scaled so that the largest is 100.

Main lines, in order of falling intensity (2θ from 15° to 90°):
43.12°, rel. 100; 24.60°, rel. 80; 25.04°, rel. 66; 29.86°, rel. 58; 24.82°, rel. 50; 39.25°, rel. 37; 25.80°, rel. 36; 26.08°, rel. 32; 39.77°, rel. 30; 30.40°, rel. 29

Crystal structure
```
14
Lattice="-4.198 4.266 5.881 4.198 -4.266 5.881 4.198 4.266 -5.881" Properties=species:S:1:pos:R:3 pbc="T T T"
Rb 0.000 2.133 1.526
Rb 4.198 2.133 4.356
Tm 2.099 2.133 -2.941
Tm 2.099 -2.133 2.941
U 4.198 0.000 0.000
U 0.000 0.000 5.881
S 4.198 -0.389 2.684
S 4.198 3.877 -2.684
S 2.487 2.133 -0.217
S 5.909 2.133 -0.217
S -1.711 2.133 6.099
S 1.711 2.133 6.099
S 0.000 0.389 8.565
S 0.000 4.655 3.198
```

---

This entry pairs a crystal structure of PmCd5 with its theoretical XRD peak list. Radiation: Cu Kα (λ = 1.5418 Å). Structure: a structure optimized by DFT (PBE).
Intensities are scaled so that the largest is 100.

Main lines, in order of falling intensity (2θ from 15° to 90°):
33.89°, rel. 100; 71.36°, rel. 20; 37.59°, rel. 19; 38.43°, rel. 18; 65.49°, rel. 14; 41.89°, rel. 13; 66.62°, rel. 13; 54.84°, rel. 12; 57.53°, rel. 10; 58.14°, rel. 10

Crystal structure
```
6
Lattice="2.343 -6.470 0.000 2.343 6.470 0.000 0.000 0.000 4.786" Properties=species:S:1:pos:R:3 pbc="T T T"
Pm 0.000 0.000 0.000
Cd 2.343 4.298 2.393
Cd 2.343 2.286 0.000
Cd 2.343 0.000 2.393
Cd 2.343 -2.286 0.000
Cd 2.343 -4.298 2.393
```

---

This entry pairs a crystal structure of NpInHgO6 with its theoretical XRD peak list. Radiation: Cu Kα (λ = 1.5418 Å). Structure: a structure optimized by DFT (PBE).
Intensities are scaled so that the largest is 100.

Main lines, in order of falling intensity (2θ from 15° to 90°):
23.69°, rel. 100; 30.89°, rel. 90; 24.58°, rel. 89; 27.41°, rel. 67; 49.70°, rel. 44; 45.36°, rel. 33; 33.35°, rel. 29; 35.26°, rel. 28; 39.18°, rel. 26; 39.41°, rel. 25

Crystal structure
```
9
Lattice="2.722 -5.154 0.000 2.722 5.154 0.000 -0.831 0.000 5.089" Properties=species:S:1:pos:R:3 pbc="T T T"
Np 0.000 0.000 0.000
In 2.722 -1.766 0.000
Hg 2.307 1.810 2.545
O 0.800 1.691 1.117
O 0.759 -0.088 4.011
O 0.935 -1.428 1.131
O 3.814 1.691 3.972
O 3.854 -0.088 1.078
O 3.679 -1.428 3.958
```

---

This entry pairs a crystal structure of AcPr3 with its theoretical XRD peak list. Radiation: Cu Kα (λ = 1.5418 Å). Structure: a structure optimized by DFT (PBE).
Intensities are scaled so that the largest is 100.

Main lines, in order of falling intensity (2θ from 15° to 90°):
28.88°, rel. 100; 33.47°, rel. 51; 57.04°, rel. 45; 48.05°, rel. 37; 77.73°, rel. 18; 80.15°, rel. 17; 89.70°, rel. 13; 59.83°, rel. 13; 70.31°, rel. 6; 18.52°, rel. 4

Crystal structure
```
4
Lattice="-2.678 2.678 5.356 2.678 -2.678 5.356 2.678 2.678 -5.356" Properties=species:S:1:pos:R:3 pbc="T T T"
Ac 0.000 0.000 0.000
Pr 2.678 0.000 2.678
Pr 0.000 0.000 5.356
Pr 0.000 2.678 2.678
```

---

This entry pairs a crystal structure of Pr2Dy2YTh2 with its theoretical XRD peak list. Radiation: Cu Kα (λ = 1.5418 Å). Structure: a structure optimized by DFT (PBE).
Intensities are scaled so that the largest is 100.

Main lines, in order of falling intensity (2θ from 15° to 90°):
30.48°, rel. 100; 31.13°, rel. 47; 27.01°, rel. 34; 35.10°, rel. 29; 62.50°, rel. 26; 34.46°, rel. 23; 34.80°, rel. 22; 30.23°, rel. 21; 53.16°, rel. 18; 36.76°, rel. 17

Crystal structure
```
7
Lattice="5.858 -1.724 0.000 5.858 1.724 0.000 -2.634 0.000 11.706" Properties=species:S:1:pos:R:3 pbc="T T T"
Pr 1.443 0.000 4.213
Pr 7.640 0.000 7.493
Dy 1.612 0.000 0.794
Dy 7.471 0.000 10.912
Y 4.541 0.000 5.853
Th -0.952 0.000 9.117
Th 10.035 0.000 2.589
```

---

This entry pairs a crystal structure of Na2Cu3O4 with its theoretical XRD peak list. Radiation: Cu Kα (λ = 1.5418 Å). Structure: a structure optimized by DFT (PBE).
Intensities are scaled so that the largest is 100.

Main lines, in order of falling intensity (2θ from 15° to 90°):
38.64°, rel. 100; 37.32°, rel. 70; 34.54°, rel. 48; 33.31°, rel. 40; 50.45°, rel. 35; 26.50°, rel. 28; 58.46°, rel. 27; 36.80°, rel. 26; 46.10°, rel. 18; 27.60°, rel. 18

Crystal structure
```
9
Lattice="2.965 0.000 0.000 0.000 5.380 0.000 1.472 2.676 6.464" Properties=species:S:1:pos:R:3 pbc="T T T"
Na 0.741 1.343 0.621
Na 3.695 6.713 5.842
Cu 0.744 4.031 1.899
Cu 2.218 1.338 3.232
Cu 3.693 4.025 4.565
O 2.211 2.743 4.681
O 2.211 5.308 4.676
O 2.226 2.749 1.787
O 2.226 5.313 1.783
```

---

This entry pairs a crystal structure of P5Os3 with its theoretical XRD peak list. Radiation: Cu Kα (λ = 1.5418 Å). Structure: a structure optimized by DFT (PBE).
Intensities are scaled so that the largest is 100.

Main lines, in order of falling intensity (2θ from 15° to 90°):
30.43°, rel. 100; 41.37°, rel. 77; 23.55°, rel. 37; 45.66°, rel. 29; 57.83°, rel. 25; 52.23°, rel. 21; 38.54°, rel. 20; 54.22°, rel. 14; 68.74°, rel. 13; 64.74°, rel. 12

Crystal structure
```
16
Lattice="7.556 0.000 0.000 -3.778 6.544 0.000 0.000 0.000 4.672" Properties=species:S:1:pos:R:3 pbc="T T T"
P -1.025 1.775 1.168
P -2.753 4.769 3.504
P 2.049 0.000 1.168
P 1.025 1.775 3.504
P 0.000 4.362 0.000
P 0.000 4.362 2.336
P 3.778 2.181 0.000
P 3.778 2.181 2.336
P 5.506 0.000 3.504
P 2.753 4.769 1.168
Os -1.389 2.406 3.504
Os -2.389 4.138 1.168
Os 2.778 0.000 3.504
Os 1.389 2.406 1.168
Os 4.778 0.000 1.168
Os 2.389 4.138 3.504
```

---

This entry pairs a crystal structure of Mg2Sc6C with its theoretical XRD peak list. Radiation: Cu Kα (λ = 1.5418 Å). Structure: a structure optimized by DFT (PBE).
Intensities are scaled so that the largest is 100.

Main lines, in order of falling intensity (2θ from 15° to 90°):
33.59°, rel. 100; 38.92°, rel. 37; 67.10°, rel. 22; 56.34°, rel. 22; 39.08°, rel. 18; 56.22°, rel. 11; 67.32°, rel. 11; 70.59°, rel. 11; 19.20°, rel. 9; 16.61°, rel. 3

Crystal structure
```
9
Lattice="5.653 -3.272 0.000 5.653 3.272 0.000 -3.789 0.000 5.337" Properties=species:S:1:pos:R:3 pbc="T T T"
Mg 1.880 0.000 1.335
Mg 5.637 0.000 4.002
Sc 2.828 1.676 3.965
Sc -0.064 0.000 3.982
Sc 4.689 1.676 1.372
Sc 2.828 -1.676 3.965
Sc 7.581 0.000 1.354
Sc 4.689 -1.676 1.372
C -1.894 0.000 2.668
```

---

This entry pairs a crystal structure of AlSnO3 with its theoretical XRD peak list. Radiation: Cu Kα (λ = 1.5418 Å). Structure: a structure optimized by DFT (PBE).
Intensities are scaled so that the largest is 100.

Main lines, in order of falling intensity (2θ from 15° to 90°):
29.74°, rel. 100; 31.97°, rel. 76; 19.08°, rel. 55; 24.04°, rel. 55; 34.06°, rel. 34; 34.45°, rel. 26; 39.68°, rel. 26; 49.23°, rel. 24; 44.49°, rel. 23; 52.79°, rel. 22

Crystal structure
```
20
Lattice="5.292 0.000 0.000 0.000 5.207 0.000 -4.333 0.000 9.301" Properties=species:S:1:pos:R:3 pbc="T T T"
Al -0.037 0.160 2.281
Al -2.203 2.444 6.931
Al 3.163 2.763 2.369
Al 0.997 5.047 7.020
Sn -2.166 0.000 4.650
Sn 0.000 2.603 0.000
Sn 2.646 0.000 0.000
Sn 0.480 2.603 4.650
O -0.568 3.669 2.732
O -2.734 4.141 7.382
O 0.902 0.588 0.845
O -1.265 2.015 5.496
O 0.742 0.890 3.658
O -1.424 1.714 8.308
O 2.384 3.493 0.993
O 0.217 4.317 5.643
O 2.224 3.191 3.805
O 0.058 4.619 8.456
O 3.694 1.065 1.919
O 1.527 1.538 6.569
```